Starting from a DFT-relaxed cell (GGA-PBE, Alexandria), the powder X-ray diffraction pattern of BaCoPPb was simulated for Cu Kα (weighted mean of Kα1 and Kα2).
Intensities are scaled so that the largest is 100.

Structural model:
a = 4.1717 Å, b = 4.1717 Å, c = 11.8694 Å
α = 90.00°, β = 90.00°, γ = 90.00°
Space group P4/nmm (No. 129, origin choice 2)
Unique sites:
Ba 0.2500 0.2500 0.2233 x2
Co 0.2500 0.7500 0.0000 x2
P 0.2500 0.2500 0.9154 x2
Pb 0.2500 0.7500 0.5000 x2

Main lines, most intense first (10° ≤ 2θ ≤ 80°):
- 2θ 33.94, intensity 100, hkl 1 1 2
- 2θ 31.21, intensity 51, hkl 1 1 1
- 2θ 43.38, intensity 33, hkl 2 0 0
- 2θ 14.93, intensity 31, hkl 0 0 2
- 2θ 30.12, intensity 30, hkl 0 0 4
- 2θ 22.59, intensity 26, hkl 1 0 1
- 2θ 53.71, intensity 24, hkl 2 0 4
- 2θ 55.97, intensity 23, hkl 1 1 6
- 2θ 73.55, intensity 21, hkl 3 1 2
- 2θ 22.47, intensity 21, hkl 0 0 3
- 2θ 49.42, intensity 17, hkl 2 0 3
- 2θ 43.25, intensity 12, hkl 1 1 4



Starting from a DFT-relaxed cell (GGA-PBE, Alexandria), the powder X-ray diffraction pattern of RbBa2CoRu was simulated for Cu Kα (weighted mean of Kα1 and Kα2).
Intensities are scaled so that the largest is 100.

Structural model:
a = 6.1513 Å, b = 6.1513 Å, c = 4.5696 Å
α = 90.00°, β = 90.00°, γ = 90.00°
Space group P4/mmm (No. 123)
Unique sites:
Rb 0.0000 0.0000 0.0000 x1
Ba 0.0000 0.5000 0.5000 x2
Co 0.5000 0.5000 0.5000 x1
Ru 0.5000 0.5000 0.0000 x1

Main lines, most intense first (10° ≤ 2θ ≤ 80°):
- 2θ 28.33, intensity 100, hkl 1 1 1
- 2θ 29.03, intensity 82, hkl 2 0 0
- 2θ 51.03, intensity 38, hkl 3 1 1
- 2θ 49.71, intensity 36, hkl 2 0 2
- 2θ 41.52, intensity 30, hkl 2 2 0
- 2θ 58.60, intensity 22, hkl 2 2 2
- 2θ 39.44, intensity 18, hkl 0 0 2
- 2θ 68.18, intensity 14, hkl 4 2 0
- 2θ 14.40, intensity 11, hkl 1 0 0
- 2θ 74.35, intensity 11, hkl 4 0 2
- 2θ 60.17, intensity 10, hkl 4 0 0
- 2θ 64.86, intensity 9, hkl 1 1 3



Starting from a DFT-relaxed cell (GGA-PBE, Alexandria), the powder X-ray diffraction pattern of BaTaCo was simulated for Cu Kα (weighted mean of Kα1 and Kα2).
Intensities are scaled so that the largest is 100.

Structural model:
a = 3.3229 Å, b = 3.3229 Å, c = 12.7789 Å
α = 90.00°, β = 90.00°, γ = 90.00°
Space group I4mm (No. 107)
Unique sites:
Ba 0.0000 0.0000 0.0000 x2
Ta 0.0000 0.0000 0.2698 x2
Co 0.0000 0.0000 0.7055 x2

Main lines, most intense first (10° ≤ 2θ ≤ 80°):
- 2θ 34.22, intensity 100, hkl 1 0 3
- 2θ 38.31, intensity 68, hkl 1 1 0
- 2θ 27.93, intensity 57, hkl 0 0 4
- 2θ 48.07, intensity 52, hkl 1 1 4
- 2θ 27.74, intensity 51, hkl 1 0 1
- 2θ 57.61, intensity 37, hkl 1 0 7
- 2θ 63.04, intensity 34, hkl 2 0 4
- 2θ 66.66, intensity 29, hkl 2 1 3
- 2θ 13.86, intensity 26, hkl 0 0 2
- 2θ 55.29, intensity 23, hkl 2 0 0
- 2θ 44.73, intensity 12, hkl 1 0 5
- 2θ 71.41, intensity 8, hkl 1 1 8



Starting from a DFT-relaxed cell (GGA-PBE, Alexandria), the powder X-ray diffraction pattern of BaCoTc was simulated for Cu Kα (weighted mean of Kα1 and Kα2).
Intensities are scaled so that the largest is 100.

Structural model:
a = 4.2976 Å, b = 4.1850 Å, c = 9.0935 Å
α = 90.00°, β = 92.53°, γ = 90.00°
Space group Pm (No. 6)
Unique sites:
Ba 0.0000 0.0000 0.0000 x1
Ba 0.4826 0.5000 0.6039 x1
Co 0.4441 0.0000 0.2976 x1
Co 0.5673 0.5000 0.1840 x1
Tc 0.0581 0.5000 0.2926 x1
Tc 0.9195 0.0000 0.4116 x1

Main lines, most intense first (10° ≤ 2θ ≤ 80°):
- 2θ 29.01, intensity 100, hkl 0 1 2
- 2θ 35.37, intensity 88, hkl 1 1 -2
- 2θ 29.81, intensity 57, hkl 1 1 0
- 2θ 43.24, intensity 53, hkl 0 2 0
- 2θ 29.25, intensity 52, hkl 1 0 2
- 2θ 36.63, intensity 44, hkl 0 1 3
- 2θ 36.42, intensity 39, hkl 1 1 2
- 2θ 29.50, intensity 38, hkl 0 0 3
- 2θ 42.09, intensity 38, hkl 2 0 0
- 2θ 60.39, intensity 37, hkl 1 1 5
- 2θ 51.14, intensity 34, hkl 2 1 -2
- 2θ 27.96, intensity 34, hkl 1 0 -2